Entry 1:
For Na3MoNO3, the GGA+U geometry in the Materials Project gives the calculated powder diffraction line list in this record (Cu Kα X-rays).
Neutral-atom scattering factors, no anomalous dispersion.

Principal peaks in the range 5° ≤ 2θ ≤ 70°, in order of falling intensity:
d_spacing	2θ/deg	I/Imax
4.509	19.7	1000
2.775	32.3	974
4.782	18.6	763
2.854	31.3	651
3.175	28.1	629
4.228	21.0	604
1.822	50.1	470
1.536	60.3	412
3.672	24.2	411
2.756	32.5	408

Structural model:
```
data_Na3MoNO3
_cell_length_a 7.3556
_cell_length_b 6.2939
_cell_length_c 5.7076
_cell_angle_alpha 90.00
_cell_angle_beta 90.00
_cell_angle_gamma 90.00
_symmetry_space_group_name_H-M 'P m n 21'
_symmetry_Int_Tables_number 31
loop_
_symmetry_equiv_pos_as_xyz
'x,y,z'
'-x+1/2,-y,z+1/2'
'-x,y,z'
'x+1/2,-y,z+1/2'
loop_
_atom_site_label
_atom_site_fract_x
_atom_site_fract_y
_atom_site_fract_z
Na1 0.0000 0.1647 0.0000
Na2 0.2446 0.3283 0.4980
Mo1 0.0000 0.8271 0.4904
N1 0.0000 0.8237 0.1835
O1 0.0000 0.1095 0.5891
O2 0.2092 0.6865 0.5913
```



Entry 2:
For K3CoPCO7, the GGA+U geometry in the Materials Project gives the calculated powder diffraction line list in this record (Cu Kα X-rays).
Neutral-atom scattering factors, no anomalous dispersion.

Principal peaks in the range 5° ≤ 2θ ≤ 70°, in order of falling intensity:
d_spacing	2θ/deg	I/Imax
2.833	31.6	1000
9.572	9.2	383
2.818	31.8	304
2.117	42.7	278
2.780	32.2	260
3.487	25.5	216
1.743	52.5	129
4.872	18.2	116
3.191	28.0	112
3.236	27.6	102

Structural model:
```
data_K3CoPCO7
_cell_length_a 8.9798
_cell_length_b 8.9817
_cell_length_c 9.5723
_cell_angle_alpha 90.06
_cell_angle_beta 90.09
_cell_angle_gamma 101.88
_symmetry_space_group_name_H-M 'P -1'
_symmetry_Int_Tables_number 2
loop_
_symmetry_equiv_pos_as_xyz
'x,y,z'
'-x,-y,-z'
loop_
_atom_site_label
_atom_site_fract_x
_atom_site_fract_y
_atom_site_fract_z
K1 0.1160 0.1258 0.2915
K2 0.1236 0.6343 0.7086
K3 0.2493 0.4961 0.0703
K4 0.2554 0.0025 0.9304
K5 0.3774 0.8671 0.2938
K6 0.3840 0.3723 0.7056
Co1 0.0044 0.2545 0.6502
Co2 0.4956 0.2462 0.3514
P1 0.2437 0.9953 0.5806
P2 0.2537 0.5057 0.4197
C1 0.0024 0.7531 0.0826
C2 0.4975 0.7469 0.9158
O1 0.0053 0.7561 0.9480
O2 0.1004 0.3436 0.8484
O3 0.1026 0.8468 0.1580
O4 0.1200 0.8739 0.5053
O5 0.1526 0.5849 0.3239
O6 0.1546 0.4064 0.5314
O7 0.1636 0.0956 0.6763
O8 0.3351 0.4044 0.3263
O9 0.3441 0.0955 0.4700
O10 0.3439 0.9131 0.6746
O11 0.3760 0.6303 0.4930
O12 0.4039 0.6465 0.8406
O13 0.4064 0.1501 0.1538
O14 0.4951 0.7445 0.0502
```



Entry 3:
For MgMn6O8F4, the GGA+U geometry in the Materials Project gives the calculated powder diffraction line list in this record (Cu Kα X-rays).
Neutral-atom scattering factors, no anomalous dispersion.

Principal peaks in the range 5° ≤ 2θ ≤ 70°, in order of falling intensity:
d_spacing	2θ/deg	I/Imax
3.804	23.4	1000
3.199	27.9	859
2.514	35.7	297
2.526	35.5	261
2.533	35.4	245
2.561	35.0	237
1.833	49.7	221
1.488	62.4	208
2.568	34.9	206
1.817	50.2	204

Structural model:
```
data_MgMn6O8F4
_cell_length_a 5.1275
_cell_length_b 5.6943
_cell_length_c 7.6315
_cell_angle_alpha 82.79
_cell_angle_beta 83.97
_cell_angle_gamma 81.49
_symmetry_space_group_name_H-M 'P -1'
_symmetry_Int_Tables_number 2
loop_
_symmetry_equiv_pos_as_xyz
'x,y,z'
'-x,-y,-z'
loop_
_atom_site_label
_atom_site_fract_x
_atom_site_fract_y
_atom_site_fract_z
Mg1 0.0000 0.0000 0.0000
Mn1 0.0000 0.0000 0.5000
Mn2 0.0590 0.3831 0.1917
Mn3 0.4939 0.1716 0.8178
Mn4 0.5000 0.5000 0.5000
O1 0.1469 0.3256 0.9292
O2 0.1588 0.6802 0.5907
O3 0.1613 0.0284 0.2423
O4 0.3660 0.5475 0.2678
F1 0.3241 0.1759 0.5798
F2 0.3566 0.8647 0.9162
```